Entry 1:
The following is a theoretical XRD peak list of Er4ScAl4. It was derived from a structure optimized by DFT (PBE), using Cu Kα (weighted mean of Kα1 and Kα2).

The 8 most intense peaks (2θ = 10–90°), by intensity:
| 2θ/deg | d [Å] | I (rel.) | index |
| --- | --- | --- | --- |
| 32.82 | 2.728 | 100.0 | 1 0 2 |
| 32.97 | 2.717 | 85.7 | 3 1 0 |
| 27.92 | 3.195 | 84.1 | 1 2 1 |
| 36.58 | 2.457 | 62.8 | 1 3 1 |
| 14.58 | 6.075 | 59.4 | 1 1 0 |
| 54.39 | 1.687 | 54.6 | 4 1 2 |
| 33.36 | 2.686 | 51.5 | 2 2 1 |
| 35.00 | 2.564 | 50.4 | 3 0 1 |

Cell: 8.591 8.591 5.755 Å, 90.00 90.00 90.00°
Space group P4_2/n (No. 86, origin choice 2)
Inequivalent atoms, fractional coordinates:
Er 0.078 0.821 0.124 [8 per cell]
Sc 0.250 0.250 0.750 [2 per cell]
Al 0.059 0.157 0.364 [8 per cell]


Entry 2:
The following is a theoretical XRD peak list of Er3ScAl4. It was derived from a structure optimized by DFT (PBE), using Cu Kα (weighted mean of Kα1 and Kα2).

The 8 most intense peaks (2θ = 10–90°), by intensity:
| 2θ/deg | d [Å] | I (rel.) | index |
| --- | --- | --- | --- |
| 36.03 | 2.492 | 100.0 | 1 0 4 |
| 25.35 | 3.514 | 56.5 | 1 0 0 |
| 36.15 | 2.485 | 51.2 | 1 1 0 |
| 64.94 | 1.436 | 35.6 | 2 1 4 |
| 25.19 | 3.536 | 28.3 | 0 0 4 |
| 44.57 | 2.033 | 25.1 | 1 1 4 |
| 58.72 | 1.572 | 22.4 | 2 1 0 |
| 52.05 | 1.757 | 17.9 | 2 0 0 |

Cell: 3.514 3.514 14.143 Å, 90.00 90.00 90.00°
Space group P4/mmm (No. 123)
Inequivalent atoms, fractional coordinates:
Er 0.000 0.000 0.000 [1 per cell]
Er 0.000 0.000 0.258 [2 per cell]
Sc 0.000 0.000 0.500 [1 per cell]
Al 0.500 0.500 0.130 [2 per cell]
Al 0.500 0.500 0.389 [2 per cell]


Entry 3:
The following is a theoretical XRD peak list of ErSc8Al2. It was derived from a structure optimized by DFT (PBE), using Cu Kα (weighted mean of Kα1 and Kα2).

The 8 most intense peaks (2θ = 10–90°), by intensity:
| 2θ/deg | d [Å] | I (rel.) | index |
| --- | --- | --- | --- |
| 33.55 | 2.671 | 100.0 | 3 1 -1 |
| 35.85 | 2.505 | 90.2 | 2 4 0 |
| 36.60 | 2.455 | 88.6 | 1 5 -1 |
| 32.20 | 2.780 | 81.6 | 0 4 1 |
| 35.55 | 2.525 | 67.2 | 1 1 -2 |
| 13.86 | 6.389 | 58.1 | 1 1 0 |
| 12.66 | 6.990 | 57.5 | 0 2 0 |
| 28.37 | 3.146 | 43.1 | 1 1 1 |

Cell: 8.174 13.979 5.218 Å, 90.00 118.50 90.00°
Space group C2/m (No. 12)
Inequivalent atoms, fractional coordinates:
Er 0.000 0.000 0.000 [2 per cell]
Sc 0.000 0.217 0.000 [4 per cell]
Sc 0.080 0.500 0.791 [4 per cell]
Sc 0.213 0.120 0.640 [8 per cell]
Al 0.000 0.309 0.500 [4 per cell]


Entry 4:
The following is a theoretical XRD peak list of Er2ScAl9. It was derived from a structure optimized by DFT (PBE), using Cu Kα (weighted mean of Kα1 and Kα2).

The 8 most intense peaks (2θ = 10–90°), by intensity:
| 2θ/deg | d [Å] | I (rel.) | index |
| --- | --- | --- | --- |
| 37.17 | 2.419 | 100.0 | 1 1 3 |
| 21.21 | 4.190 | 70.1 | 1 0 0 |
| 30.17 | 2.963 | 59.1 | 1 1 0 |
| 43.18 | 2.095 | 48.8 | 2 0 0 |
| 75.22 | 1.263 | 36.9 | 3 1 3 |
| 48.59 | 1.874 | 31.8 | 2 1 0 |
| 62.72 | 1.481 | 31.7 | 2 2 0 |
| 53.58 | 1.710 | 23.9 | 1 1 6 |

Cell: 4.191 4.191 12.559 Å, 90.00 90.00 90.00°
Space group P4/mmm (No. 123)
Inequivalent atoms, fractional coordinates:
Er 0.000 0.000 0.170 [2 per cell]
Sc 0.000 0.000 0.500 [1 per cell]
Al 0.000 0.500 0.000 [2 per cell]
Al 0.000 0.500 0.340 [4 per cell]
Al 0.500 0.500 0.168 [2 per cell]
Al 0.500 0.500 0.500 [1 per cell]